Record 1
Cd3P2: theoretical powder diffractogram (Cu Ka), based on a PBE-relaxed structure.

Structural model:
```
data_Cd3P2
_cell_length_a 8.8795
_cell_length_b 8.8795
_cell_length_c 12.4833
_cell_angle_alpha 90.00
_cell_angle_beta 90.00
_cell_angle_gamma 90.00
_symmetry_space_group_name_H-M 'P 42/n m c'
_symmetry_Int_Tables_number 137
loop_
_symmetry_equiv_pos_as_xyz
'x,y,z'
'-x,-y,-z'
'-y+1/2,x,z+1/2'
'y+1/2,-x,-z+1/2'
'-x+1/2,-y+1/2,z'
'x+1/2,y+1/2,-z'
'y,-x+1/2,z+1/2'
'-y,x+1/2,-z+1/2'
'x+1/2,-y,-z'
'-x+1/2,y,z'
'-y,-x,-z+1/2'
'y,x,z+1/2'
'-x,y+1/2,-z'
'x,-y+1/2,z'
'y+1/2,x+1/2,-z+1/2'
'-y+1/2,-x+1/2,z+1/2'
loop_
_atom_site_label
_atom_site_fract_x
_atom_site_fract_y
_atom_site_fract_z
_atom_site_occupancy
Cd1 0.0064 0.7500 0.0995 1
Cd2 0.0356 0.7500 0.6487 1
Cd3 0.0395 0.2500 0.6331 1
P1 0.0075 0.5075 0.2500 1
P2 0.2500 0.2500 0.4915 1
P3 0.2500 0.7500 0.5073 1
```

Top 6 peaks for 2θ from 10° to 90°, in order of rising 2θ:
- 2θ 26.6, I = 36, (2 1 2)
- 2θ 28.4, I = 78, (2 2 0)
- 2θ 29.4, I = 53, (2 0 3)
- 2θ 31.1, I = 35, (3 0 1)
- 2θ 40.6, I = 57, (4 0 0)
- 2θ 40.8, I = 100, (2 2 4)


Record 2
HfTiW4: theoretical powder diffractogram (Cu Ka), based on a PBE-relaxed structure.

Structural model:
```
data_HfTiW4
_cell_length_a 7.5616
_cell_length_b 7.5616
_cell_length_c 7.5616
_cell_angle_alpha 90.00
_cell_angle_beta 90.00
_cell_angle_gamma 90.00
_symmetry_space_group_name_H-M 'F -4 3 m'
_symmetry_Int_Tables_number 216
_symmetry_space_group_name_Hall 'F -4 2 3'
loop_
_atom_site_label
_atom_site_fract_x
_atom_site_fract_y
_atom_site_fract_z
_atom_site_occupancy
Hf1 0.0000 0.0000 0.0000 1
Ti1 0.2500 0.2500 0.2500 1
W1 0.1250 0.1250 0.6250 1
```

Top 6 peaks for 2θ from 10° to 90°, in order of rising 2θ:
- 2θ 20.3, I = 32, (1 1 1)
- 2θ 39.5, I = 100, (3 1 1)
- 2θ 41.4, I = 57, (2 2 2)
- 2θ 64.0, I = 33, (5 1 1)
- 2θ 70.4, I = 30, (4 4 0)
- 2θ 85.1, I = 22, (6 2 2)


Record 3
Rb2LiMoI6: theoretical powder diffractogram (Cu Ka), based on a PBE-relaxed structure.

Structural model:
```
data_Rb2LiMoI6
_cell_length_a 11.6586
_cell_length_b 11.6586
_cell_length_c 11.6586
_cell_angle_alpha 90.00
_cell_angle_beta 90.00
_cell_angle_gamma 90.00
_symmetry_space_group_name_H-M 'F m -3 m'
_symmetry_Int_Tables_number 225
_symmetry_space_group_name_Hall '-F 4 2 3'
loop_
_atom_site_label
_atom_site_fract_x
_atom_site_fract_y
_atom_site_fract_z
_atom_site_occupancy
Rb1 0.2500 0.2500 0.2500 1
Li1 0.0000 0.0000 0.0000 1
Mo1 0.0000 0.0000 0.5000 1
I1 0.0000 0.0000 0.2577 1
```

Top 6 peaks for 2θ from 10° to 90°, in order of rising 2θ:
- 2θ 26.5, I = 100, (2 2 2)
- 2θ 30.7, I = 80, (4 0 0)
- 2θ 43.9, I = 58, (4 4 0)
- 2θ 52.0, I = 44, (6 2 2)
- 2θ 54.5, I = 20, (4 4 4)
- 2θ 72.5, I = 25, (8 4 0)


Record 4
K3Tl: theoretical powder diffractogram (Cu Ka), based on a PBE-relaxed structure.

Structural model:
```
data_K3Tl
_cell_length_a 9.3501
_cell_length_b 9.3501
_cell_length_c 9.3501
_cell_angle_alpha 90.00
_cell_angle_beta 90.00
_cell_angle_gamma 90.00
_symmetry_space_group_name_H-M 'F m -3 m'
_symmetry_Int_Tables_number 225
_symmetry_space_group_name_Hall '-F 4 2 3'
loop_
_atom_site_label
_atom_site_fract_x
_atom_site_fract_y
_atom_site_fract_z
_atom_site_occupancy
K1 0.0000 0.0000 0.0000 1
K2 0.2500 0.2500 0.2500 1
Tl1 0.0000 0.0000 0.5000 1
```

Top 6 peaks for 2θ from 10° to 90°, in order of rising 2θ:
- 2θ 16.4, I = 49, (1 1 1)
- 2θ 19.0, I = 26, (2 0 0)
- 2θ 27.0, I = 100, (2 2 0)
- 2θ 31.7, I = 31, (3 1 1)
- 2θ 47.6, I = 40, (4 2 2)
- 2θ 76.2, I = 19, (6 4 2)


Record 5
ZrI2: theoretical powder diffractogram (Cu Ka), based on a PBE-relaxed structure.

Structural model:
```
data_ZrI2
_cell_length_a 3.7764
_cell_length_b 6.9247
_cell_length_c 16.3643
_cell_angle_alpha 90.00
_cell_angle_beta 90.00
_cell_angle_gamma 90.00
_symmetry_space_group_name_H-M 'P m n 21'
_symmetry_Int_Tables_number 31
_symmetry_space_group_name_Hall 'P 2ac -2'
loop_
_atom_site_label
_atom_site_fract_x
_atom_site_fract_y
_atom_site_fract_z
_atom_site_occupancy
Zr1 0.0000 0.0092 0.0000 1
Zr2 0.0000 0.6164 0.4935 1
I1 0.0000 0.2230 0.3968 1
I2 0.0000 0.2778 0.8619 1
I3 0.0000 0.6158 0.0967 1
I4 0.0000 0.8847 0.6316 1
```

Top 6 peaks for 2θ from 10° to 90°, in order of rising 2θ:
- 2θ 10.8, I = 87, (0 0 2)
- 2θ 28.0, I = 26, (0 2 2)
- 2θ 29.1, I = 100, (1 1 2)
- 2θ 30.6, I = 26, (0 2 3)
- 2θ 31.6, I = 49, (1 1 3)
- 2θ 38.7, I = 32, (1 1 5)


Record 6
NaSbO12: theoretical powder diffractogram (Cu Ka), based on a PBE-relaxed structure.

Structural model:
```
data_NaSbO12
_cell_length_a 9.4025
_cell_length_b 9.4025
_cell_length_c 6.7105
_cell_angle_alpha 90.00
_cell_angle_beta 90.00
_cell_angle_gamma 90.00
_symmetry_space_group_name_H-M 'P 42/n'
_symmetry_Int_Tables_number 86
loop_
_symmetry_equiv_pos_as_xyz
'x,y,z'
'-x,-y,-z'
'-y,x+1/2,z+1/2'
'y,-x+1/2,-z+1/2'
'-x+1/2,-y+1/2,z'
'x+1/2,y+1/2,-z'
'y+1/2,-x,z+1/2'
'-y+1/2,x,-z+1/2'
loop_
_atom_site_label
_atom_site_fract_x
_atom_site_fract_y
_atom_site_fract_z
_atom_site_occupancy
Na1 0.2500 0.2500 0.2500 1
Sb1 0.2500 0.2500 0.7500 1
O1 0.0614 0.6635 0.6982 1
O2 0.1169 0.1979 0.9533 1
O3 0.1241 0.8355 0.1008 1
```

Top 6 peaks for 2θ from 10° to 90°, in order of rising 2θ:
- 2θ 13.3, I = 89, (1 1 0)
- 2θ 16.2, I = 74, (1 0 1)
- 2θ 18.9, I = 98, (2 0 0)
- 2θ 25.0, I = 100, (2 1 1)
- 2θ 30.1, I = 57, (1 3 0)
- 2θ 40.5, I = 45, (1 3 2)


Record 7
SrH2: theoretical powder diffractogram (Cu Ka), based on a PBE-relaxed structure.

Structural model:
```
data_SrH2
_cell_length_a 6.3650
_cell_length_b 3.8612
_cell_length_c 7.3017
_cell_angle_alpha 90.00
_cell_angle_beta 90.00
_cell_angle_gamma 90.00
_symmetry_space_group_name_H-M 'P n m a'
_symmetry_Int_Tables_number 62
_symmetry_space_group_name_Hall '-P 2ac 2n'
loop_
_atom_site_label
_atom_site_fract_x
_atom_site_fract_y
_atom_site_fract_z
_atom_site_occupancy
Sr1 0.2392 0.2500 0.1107 1
H1 0.0264 0.7500 0.3218 1
H2 0.1449 0.7500 0.9276 1
```

Top 6 peaks for 2θ from 10° to 90°, in order of rising 2θ:
- 2θ 26.1, I = 49, (0 1 1)
- 2θ 28.0, I = 49, (2 0 0)
- 2θ 28.2, I = 94, (1 0 2)
- 2θ 29.7, I = 100, (1 1 1)
- 2θ 38.7, I = 36, (2 1 1)
- 2θ 55.7, I = 42, (2 2 0)


Record 8
TmAl3: theoretical powder diffractogram (Cu Ka), based on a PBE-relaxed structure.

Structural model:
```
data_TmAl3
_cell_length_a 6.1689
_cell_length_b 6.1689
_cell_length_c 4.6405
_cell_angle_alpha 90.00
_cell_angle_beta 90.00
_cell_angle_gamma 120.00
_symmetry_space_group_name_H-M 'P 63/m m c'
_symmetry_Int_Tables_number 194
_symmetry_space_group_name_Hall '-P 6c 2c'
loop_
_atom_site_label
_atom_site_fract_x
_atom_site_fract_y
_atom_site_fract_z
_atom_site_occupancy
Tm1 0.3333 0.6667 0.2500 1
Al1 0.1492 0.2983 0.7500 1
```

Top 6 peaks for 2θ from 10° to 90°, in order of rising 2θ:
- 2θ 16.6, I = 25, (1 0 0)
- 2θ 25.4, I = 89, (1 0 1)
- 2θ 28.9, I = 41, (1 1 0)
- 2θ 38.9, I = 100, (0 0 2)
- 2θ 49.2, I = 43, (1 1 2)
- 2θ 73.8, I = 27, (2 2 2)


Record 9
Sm2MgNi2: theoretical powder diffractogram (Cu Ka), based on a PBE-relaxed structure.

Structural model:
```
data_Sm2MgNi2
_cell_length_a 7.4341
_cell_length_b 7.4341
_cell_length_c 3.8748
_cell_angle_alpha 90.00
_cell_angle_beta 90.00
_cell_angle_gamma 90.00
_symmetry_space_group_name_H-M 'P 4/m b m'
_symmetry_Int_Tables_number 127
_symmetry_space_group_name_Hall '-P 4 2ab'
loop_
_atom_site_label
_atom_site_fract_x
_atom_site_fract_y
_atom_site_fract_z
_atom_site_occupancy
Sm1 0.1756 0.3244 0.0000 1
Mg1 0.0000 0.0000 0.5000 1
Ni1 0.1205 0.6205 0.5000 1
```

Top 6 peaks for 2θ from 10° to 90°, in order of rising 2θ:
- 2θ 16.9, I = 18, (1 1 0)
- 2θ 26.8, I = 17, (2 1 0)
- 2θ 33.4, I = 28, (2 0 1)
- 2θ 35.6, I = 100, (2 1 1)
- 2θ 38.3, I = 21, (3 1 0)
- 2θ 56.3, I = 17, (4 1 1)


Record 10
As2Pb8O13: theoretical powder diffractogram (Cu Ka), based on a PBE-relaxed structure.

Structural model:
```
data_As2Pb8O13
_cell_length_a 11.0965
_cell_length_b 10.6875
_cell_length_c 14.9791
_cell_angle_alpha 90.00
_cell_angle_beta 97.84
_cell_angle_gamma 90.00
_symmetry_space_group_name_H-M 'C 1 2/m 1'
_symmetry_Int_Tables_number 12
_symmetry_space_group_name_Hall '-C 2y'
loop_
_atom_site_label
_atom_site_fract_x
_atom_site_fract_y
_atom_site_fract_z
_atom_site_occupancy
As1 0.0000 0.2477 0.0000 1
As2 0.1570 0.5000 0.5971 1
Pb1 0.0655 0.0000 0.2159 1
Pb2 0.0758 0.5000 0.2007 1
Pb3 0.0845 0.2535 0.4013 1
Pb4 0.1744 0.0000 0.6165 1
Pb5 0.1891 0.2316 0.7945 1
Pb6 0.2400 0.0000 0.9814 1
O1 0.0313 0.1405 0.7091 1
O2 0.0766 0.1539 0.9316 1
O3 0.0963 0.3672 0.6403 1
O4 0.1033 0.3388 0.0683 1
O5 0.1415 0.5000 0.4811 1
O6 0.1888 0.0000 0.3637 1
O7 0.1886 0.3581 0.3062 1
O8 0.2279 0.0000 0.8327 1
```

Top 6 peaks for 2θ from 10° to 90°, in order of rising 2θ:
- 2θ 27.2, I = 100, (2 2 2)
- 2θ 28.1, I = 98, (2 2 -3)
- 2θ 30.1, I = 35, (0 0 5)
- 2θ 32.3, I = 28, (4 0 -1)
- 2θ 33.5, I = 28, (0 4 0)
- 2θ 45.7, I = 27, (0 4 5)


Record 11
Pr5Ru2: theoretical powder diffractogram (Cu Ka), based on a PBE-relaxed structure.

Structural model:
```
data_Pr5Ru2
_cell_length_a 16.6560
_cell_length_b 6.6734
_cell_length_c 7.4369
_cell_angle_alpha 90.00
_cell_angle_beta 96.54
_cell_angle_gamma 90.00
_symmetry_space_group_name_H-M 'C 1 2/c 1'
_symmetry_Int_Tables_number 15
_symmetry_space_group_name_Hall '-C 2yc'
loop_
_atom_site_label
_atom_site_fract_x
_atom_site_fract_y
_atom_site_fract_z
_atom_site_occupancy
Pr1 0.0000 0.0754 0.2500 1
Pr2 0.0922 0.3888 0.9146 1
Pr3 0.2167 0.0760 0.3150 1
Ru1 0.1107 0.2123 0.5747 1
```

Top 6 peaks for 2θ from 10° to 90°, in order of rising 2θ:
- 2θ 27.6, I = 53, (1 1 -2)
- 2θ 29.4, I = 75, (0 2 1)
- 2θ 30.1, I = 100, (5 1 0)
- 2θ 30.6, I = 83, (4 0 -2)
- 2θ 33.7, I = 50, (5 1 1)
- 2θ 38.8, I = 55, (1 1 -3)


Record 12
CeNb2InO6: theoretical powder diffractogram (Cu Ka), based on a PBE-relaxed structure.

Structural model:
```
data_CeNb2InO6
_cell_length_a 5.6929
_cell_length_b 5.6929
_cell_length_c 8.2873
_cell_angle_alpha 90.00
_cell_angle_beta 90.00
_cell_angle_gamma 90.00
_symmetry_space_group_name_H-M 'I -4 2 m'
_symmetry_Int_Tables_number 121
_symmetry_space_group_name_Hall 'I -4 2'
loop_
_atom_site_label
_atom_site_fract_x
_atom_site_fract_y
_atom_site_fract_z
_atom_site_occupancy
Ce1 0.0000 0.0000 0.0000 1
Nb1 0.0000 0.5000 0.2500 1
In1 0.0000 0.0000 0.5000 1
O1 0.0000 0.5000 0.0000 1
O2 0.1968 0.1968 0.7596 1
```

Top 6 peaks for 2θ from 10° to 90°, in order of rising 2θ:
- 2θ 31.0, I = 100, (1 1 2)
- 2θ 31.4, I = 53, (2 0 0)
- 2θ 45.0, I = 28, (2 2 0)
- 2θ 54.8, I = 22, (2 0 4)
- 2θ 55.7, I = 42, (3 1 2)
- 2θ 64.6, I = 18, (2 2 4)


Question: Which formula does entry 1 have?
Answer: Cd3P2